This entry pairs a crystal structure of La3Al3Cu8 with its computed powder diffractogram. Radiation: Cu Kα (weighted mean of Kα1 and Kα2). Structure: a crystal structure in Alexandria, relaxed with PBE.
Lines closer than 0.1° are merged.

Crystal structure
```
data_La3Al3Cu8
_chemical_formula_sum 'La6 Al6 Cu16'
_space_group_name_H-M_alt 'C 1 2/m 1'
_space_group_IT_number 12
_cell_length_a 15.623
_cell_length_b 4.231
_cell_length_c 9.086
_cell_angle_alpha 90.00
_cell_angle_beta 121.55
_cell_angle_gamma 90.00
loop_
_space_group_symop_operation_xyz
'x,y,z'
'-x,-y,-z'
'-x,y,-z'
'x,-y,z'
'x+1/2,y+1/2,z'
'-x+1/2,-y+1/2,-z'
'-x+1/2,y+1/2,-z'
'x+1/2,-y+1/2,z'
loop_
_atom_site_label
_atom_site_type_symbol
_atom_site_fract_x
_atom_site_fract_y
_atom_site_fract_z
La1 La 0.000 0.000 0.000
La2 La 0.198 0.500 0.651
Al1 Al 0.000 0.000 0.500
Al2 Al 0.183 0.500 0.010
Cu1 Cu 0.013 0.500 0.706
Cu2 Cu 0.102 0.000 0.367
Cu3 Cu 0.126 0.000 0.825
Cu4 Cu 0.140 0.500 0.256
```

Most intense lines, 2θ from 10° to 80°, in order of rising 2θ:
- 2θ 23.20, d = 3.834 Å, I 29.1
- 2θ 30.79, d = 2.904 Å, I 31.7
- 2θ 34.57, d = 2.595 Å, I 100.0
- 2θ 36.22, d = 2.480 Å, I 82.2
- 2θ 36.54, d = 2.459 Å, I 33.5
- 2θ 39.78, d = 2.266 Å, I 37.7
- 2θ 40.01, d = 2.254 Å, I 29.0
- 2θ 42.75, d = 2.115 Å, I 58.1

This entry pairs a crystal structure of Sm2HoEr6 with its computed powder diffractogram. Radiation: Cu Kα (weighted mean of Kα1 and Kα2). Structure: a crystal structure in Alexandria, relaxed with PBE.
Lines closer than 0.1° are merged.

Crystal structure
```
data_Sm2HoEr6
_chemical_formula_sum 'Sm4 Ho2 Er12'
_space_group_name_H-M_alt 'P 42/m n m'
_space_group_IT_number 136
_space_group_name_Hall '-P 4n 2n'
_cell_length_a 10.588
_cell_length_b 10.588
_cell_length_c 5.012
_cell_angle_alpha 90.00
_cell_angle_beta 90.00
_cell_angle_gamma 90.00
loop_
_atom_site_label
_atom_site_type_symbol
_atom_site_fract_x
_atom_site_fract_y
_atom_site_fract_z
Sm1 Sm 0.167 0.167 0.000
Ho1 Ho 0.000 0.000 0.500
Er1 Er 0.001 0.334 0.500
Er2 Er 0.167 0.833 0.000
```

Most intense lines, 2θ from 10° to 80°, in order of rising 2θ:
- 2θ 30.99, d = 2.886 Å, I 100.0
- 2θ 35.83, d = 2.506 Å, I 17.0
- 2θ 35.99, d = 2.496 Å, I 33.6
- 2θ 51.69, d = 1.768 Å, I 24.1
- 2θ 51.81, d = 1.765 Å, I 11.9
- 2θ 61.40, d = 1.510 Å, I 14.4
- 2θ 61.61, d = 1.505 Å, I 28.4
- 2θ 64.60, d = 1.443 Å, I 12.3

This entry pairs a crystal structure of AcFeP2Os with its computed powder diffractogram. Radiation: Cu Kα (weighted mean of Kα1 and Kα2). Structure: a crystal structure in Alexandria, relaxed with PBE.
Lines closer than 0.1° are merged.

Crystal structure
```
data_AcFeP2Os
_chemical_formula_sum 'Ac2 Fe2 P4 Os2'
_space_group_name_H-M_alt 'I -4 m 2'
_space_group_IT_number 119
_space_group_name_Hall 'I -4 -2'
_cell_length_a 3.964
_cell_length_b 3.964
_cell_length_c 11.517
_cell_angle_alpha 90.00
_cell_angle_beta 90.00
_cell_angle_gamma 90.00
loop_
_atom_site_label
_atom_site_type_symbol
_atom_site_fract_x
_atom_site_fract_y
_atom_site_fract_z
Ac1 Ac 0.000 0.000 0.000
Fe1 Fe 0.000 0.500 0.250
P1 P 0.000 0.000 0.350
Os1 Os 0.000 0.500 0.750
```

Most intense lines, 2θ from 10° to 80°, in order of rising 2θ:
- 2θ 23.74, d = 3.748 Å, I 68.0
- 2θ 31.06, d = 2.879 Å, I 30.9
- 2θ 32.47, d = 2.758 Å, I 60.1
- 2θ 35.63, d = 2.520 Å, I 100.0
- 2θ 45.79, d = 1.982 Å, I 34.3
- 2θ 56.36, d = 1.632 Å, I 23.7
- 2θ 57.25, d = 1.609 Å, I 24.3
- 2θ 58.26, d = 1.584 Å, I 32.0

This entry pairs a crystal structure of Nd3TmPb4 with its computed powder diffractogram. Radiation: Cu Kα (weighted mean of Kα1 and Kα2). Structure: a crystal structure in Alexandria, relaxed with PBE.
Lines closer than 0.1° are merged.

Crystal structure
```
data_Nd3TmPb4
_chemical_formula_sum 'Nd6 Tm2 Pb8'
_space_group_name_H-M_alt 'I m m m'
_space_group_IT_number 71
_space_group_name_Hall '-I 2 2'
_cell_length_a 3.652
_cell_length_b 7.271
_cell_length_c 19.169
_cell_angle_alpha 90.00
_cell_angle_beta 90.00
_cell_angle_gamma 90.00
loop_
_atom_site_label
_atom_site_type_symbol
_atom_site_fract_x
_atom_site_fract_y
_atom_site_fract_z
Nd1 Nd 0.000 0.000 0.000
Nd2 Nd 0.000 0.500 0.224
Tm1 Tm 0.000 0.000 0.500
Pb1 Pb 0.000 0.275 0.375
```

Most intense lines, 2θ from 10° to 80°, in order of rising 2θ:
- 2θ 24.82, d = 3.588 Å, I 30.0
- 2θ 28.90, d = 3.089 Å, I 46.8
- 2θ 30.87, d = 2.896 Å, I 100.0
- 2θ 33.90, d = 2.644 Å, I 26.2
- 2θ 35.14, d = 2.554 Å, I 27.0
- 2θ 37.54, d = 2.396 Å, I 24.9
- 2θ 37.64, d = 2.390 Å, I 34.4
- 2θ 59.88, d = 1.545 Å, I 37.7